This entry pairs a crystal structure of YClO with its simulated powder diffraction line list. Radiation: a wavelength of 1.5418 Å. Structure: DFT lattice parameters and positions (PBE).

Atomic structure:
Cell: 4.0726 4.0726 6.4851 Å, 90.00 90.00 90.00°
Positions (direct):
Y (0.2500, 0.2500, 0.2032)
Y (0.7500, 0.7500, 0.7968)
Cl (0.2500, 0.7500, 0.5000)
Cl (0.7500, 0.2500, 0.5000)
O (0.2500, 0.2500, 0.8847)
O (0.7500, 0.7500, 0.1153)

Top 10 peaks for 10 to 90 degrees two-theta, by angle:
2θ/deg  d [Å]  intensity
25.83  3.449  100
31.06  2.880  28
34.06  2.632  47
41.79  2.162  15
41.96  2.153  55
44.49  2.036  39
47.63  1.909  16
52.16  1.753  29
62.68  1.482  17
80.19  1.197  15

This entry pairs a crystal structure of WN with its simulated powder diffraction line list. Radiation: a wavelength of 1.5418 Å. Structure: DFT lattice parameters and positions (PBE).

Atomic structure:
Cell: 2.9236 2.9236 6.4521 Å, 90.00 90.00 120.00°
Positions (direct):
W (0.3333, 0.6667, 0.0000)
W (0.6667, 0.3333, 0.5000)
N (0.3333, 0.6667, 0.6895)
N (0.6667, 0.3333, 0.1895)

Top 10 peaks for 10 to 90 degrees two-theta, by angle:
2θ/deg  d [Å]  intensity
27.65  3.226  48
35.45  2.532  25
38.18  2.357  100
45.54  1.992  19
56.11  1.639  39
63.66  1.462  18
70.76  1.331  22
76.72  1.242  14
84.22  1.150  10
89.92  1.091  11

This entry pairs a crystal structure of NaSrNbBiO6 with its simulated powder diffraction line list. Radiation: a wavelength of 1.5418 Å. Structure: DFT lattice parameters and positions (PBE).

Atomic structure:
Cell: 5.9534 5.9534 5.9534 Å, 60.00 60.00 60.00°
Positions (direct):
Na (0.0000, 0.0000, 0.0000)
Sr (0.5000, 0.5000, 0.5000)
Nb (0.7500, 0.7500, 0.7500)
Bi (0.2500, 0.2500, 0.2500)
O (0.5124, 0.5124, 0.9876)
O (0.5124, 0.9876, 0.5124)
O (0.5124, 0.9876, 0.9876)
O (0.9876, 0.5124, 0.5124)
O (0.9876, 0.5124, 0.9876)
O (0.9876, 0.9876, 0.5124)

Top 10 peaks for 10 to 90 degrees two-theta, by angle:
2θ/deg  d [Å]  intensity
18.25  4.861  21
21.10  4.210  41
30.02  2.977  100
35.36  2.539  15
42.97  2.105  33
48.35  1.883  18
53.30  1.719  41
62.39  1.488  21
70.78  1.331  18
86.50  1.125  22

This entry pairs a crystal structure of Cd5S4Cl2 with its simulated powder diffraction line list. Radiation: a wavelength of 1.5418 Å. Structure: DFT lattice parameters and positions (PBE).

Atomic structure:
Cell: 10.1828 10.1828 10.1828 Å, 141.38 101.29 91.31°
Positions (direct):
Cd (0.0467, 0.7500, 0.2967)
Cd (0.0982, 0.6950, 0.7932)
Cd (0.2500, 0.2500, 0.0000)
Cd (0.4018, 0.1950, 0.5969)
Cd (0.4533, 0.7500, 0.7033)
Cd (0.5467, 0.2500, 0.2967)
Cd (0.5982, 0.8050, 0.4031)
Cd (0.7500, 0.7500, 0.0000)
Cd (0.9018, 0.3050, 0.2068)
Cd (0.9533, 0.2500, 0.7033)
S (0.0217, 0.3605, 0.0555)
S (0.1950, 0.1395, 0.6612)
S (0.3050, 0.9662, 0.9445)
S (0.4783, 0.5338, 0.3388)
S (0.5217, 0.4662, 0.6612)
S (0.6950, 0.0338, 0.0555)
S (0.8050, 0.8605, 0.3388)
S (0.9783, 0.6395, 0.9445)
Cl (0.1058, 0.3075, 0.4133)
Cl (0.3942, 0.8075, 0.2018)
Cl (0.6058, 0.1925, 0.7982)
Cl (0.8942, 0.6925, 0.5867)

Top 10 peaks for 10 to 90 degrees two-theta, by angle:
2θ/deg  d [Å]  intensity
19.40  4.574  43
20.05  4.429  76
24.54  3.627  46
25.02  3.559  88
27.61  3.231  55
29.35  3.044  100
30.40  2.940  50
35.33  2.540  52
38.64  2.330  39
46.85  1.939  45

This entry pairs a crystal structure of Ga3Ge with its simulated powder diffraction line list. Radiation: a wavelength of 1.5418 Å. Structure: DFT lattice parameters and positions (PBE).

Atomic structure:
Cell: 4.2325 4.2325 4.2325 Å, 90.00 90.00 90.00°
Positions (direct):
Ga (0.0000, 0.0000, 0.5000)
Ga (0.0000, 0.5000, 0.0000)
Ga (0.5000, 0.0000, 0.0000)
Ge (0.5000, 0.5000, 0.5000)

Top 5 peaks for 10 to 90 degrees two-theta, by angle:
2θ/deg  d [Å]  intensity
36.78  2.444  100
42.73  2.116  49
62.02  1.496  31
74.33  1.276  36
78.24  1.222  10

This entry pairs a crystal structure of PbSO3 with its simulated powder diffraction line list. Radiation: a wavelength of 1.5418 Å. Structure: DFT lattice parameters and positions (PBE).

Atomic structure:
Cell: 4.5656 5.4075 6.5080 Å, 90.00 106.55 90.00°
Positions (direct):
Pb (0.1431, 0.2500, 0.2813)
Pb (0.8569, 0.7500, 0.7187)
S (0.4133, 0.2500, 0.8242)
S (0.5867, 0.7500, 0.1758)
O (0.2366, 0.7500, 0.1335)
O (0.3020, 0.0250, 0.6729)
O (0.3020, 0.4750, 0.6729)
O (0.6980, 0.5250, 0.3271)
O (0.6980, 0.9750, 0.3271)
O (0.7634, 0.2500, 0.8665)

Top 10 peaks for 10 to 90 degrees two-theta, by angle:
2θ/deg  d [Å]  intensity
21.75  4.086  100
26.20  3.402  79
26.93  3.311  97
28.04  3.182  30
28.62  3.119  62
33.14  2.703  62
39.57  2.277  33
43.49  2.081  31
43.95  2.060  36
44.34  2.043  27

Question: Number 5 is which compound?
Answer: Ga3Ge